1.
Computed PXRD pattern of PuCdBiO for a wavelength of 1.5418 Å, from a PBE-relaxed structure.
No peak broadening, texture or thermal motion is included.

Crystal structure
```
data_PuCdBiO
_chemical_formula_sum 'Pu2 Cd2 Bi2 O2'
_cell_length_a 3.258
_cell_length_b 3.258
_cell_length_c 19.009
_cell_angle_alpha 90.00
_cell_angle_beta 90.00
_cell_angle_gamma 90.00
_space_group_name_H-M_alt 'I 4 m m'
_space_group_IT_number 107
_space_group_name_Hall 'I 4 -2'
loop_
_atom_site_label
_atom_site_type_symbol
_atom_site_fract_x
_atom_site_fract_y
_atom_site_fract_z
Pu1 Pu 0.000 0.000 0.000
Cd1 Cd 0.000 0.000 0.699
Bi1 Bi 0.000 0.000 0.352
O1 O 0.000 0.000 0.528
```

Peak list (10 most intense, 10° ≤ 2θ ≤ 90°, low angle first)
- hkl 0 0 6, d = 3.168 Å, 2θ = 28.17°, rel. 30
- hkl 1 0 3, d = 2.897 Å, 2θ = 30.86°, rel. 100
- hkl 1 0 5, d = 2.474 Å, 2θ = 36.32°, rel. 14
- hkl 1 1 0, d = 2.304 Å, 2θ = 39.10°, rel. 32
- hkl 1 1 6, d = 1.863 Å, 2θ = 48.89°, rel. 27
- hkl 1 0 9, d = 1.772 Å, 2θ = 51.57°, rel. 15
- hkl 2 0 0, d = 1.629 Å, 2θ = 56.50°, rel. 11
- hkl 1 0 11, d = 1.527 Å, 2θ = 60.66°, rel. 10
- hkl 2 0 6, d = 1.449 Å, 2θ = 64.31°, rel. 12
- hkl 2 1 3, d = 1.420 Å, 2θ = 65.77°, rel. 24

***

2.
Computed PXRD pattern of CdRe2BiO8 for a wavelength of 1.5418 Å, from a PBE-relaxed structure.
No peak broadening, texture or thermal motion is included.

Crystal structure
```
data_CdRe2BiO8
_chemical_formula_sum 'Cd2 Re4 Bi2 O16'
_cell_length_a 11.610
_cell_length_b 6.121
_cell_length_c 5.717
_cell_angle_alpha 90.00
_cell_angle_beta 98.94
_cell_angle_gamma 90.00
_space_group_name_H-M_alt 'C 1 2/m 1'
_space_group_IT_number 12
loop_
_space_group_symop_operation_xyz
'x,y,z'
'-x,-y,-z'
'-x,y,-z'
'x,-y,z'
'x+1/2,y+1/2,z'
'-x+1/2,-y+1/2,-z'
'-x+1/2,y+1/2,-z'
'x+1/2,-y+1/2,z'
loop_
_atom_site_label
_atom_site_type_symbol
_atom_site_fract_x
_atom_site_fract_y
_atom_site_fract_z
Cd1 Cd 0.000 0.000 0.000
Re1 Re 0.195 0.500 0.108
Bi1 Bi 0.000 0.500 0.500
O1 O 0.106 0.293 0.237
O2 O 0.154 0.000 0.776
O3 O 0.163 0.500 0.793
```

Peak list (10 most intense, 10° ≤ 2θ ≤ 90°, low angle first)
- hkl 0 0 1, d = 5.648 Å, 2θ = 15.69°, rel. 26
- hkl 1 1 0, d = 5.400 Å, 2θ = 16.42°, rel. 48
- hkl 1 1 1, d = 3.768 Å, 2θ = 23.61°, rel. 82
- hkl 2 0 1, d = 3.744 Å, 2θ = 23.77°, rel. 43
- hkl 0 2 0, d = 3.060 Å, 2θ = 29.18°, rel. 58
- hkl 3 1 -1, d = 2.987 Å, 2θ = 29.91°, rel. 100
- hkl 3 1 1, d = 2.665 Å, 2θ = 33.64°, rel. 37
- hkl 1 1 -2, d = 2.581 Å, 2θ = 34.76°, rel. 29
- hkl 3 3 -1, d = 1.752 Å, 2θ = 52.20°, rel. 25
- hkl 1 1 3, d = 1.739 Å, 2θ = 52.64°, rel. 22